1.
The following is a calculated X-ray diffraction stick pattern of Na6Ti6O13. It was derived from the PBE geometry in Alexandria, using Cu Kα (λ = 1.5418 Å).

Top 10 peaks for 10 to 90 degrees two-theta, low angle first:
- 10.8°, I = 100
- 12.3°, I = 80
- 22.8°, I = 35
- 27.5°, I = 46
- 33.4°, I = 63
- 34.5°, I = 41
- 36.3°, I = 44
- 44.0°, I = 48
- 45.1°, I = 64
- 64.8°, I = 25

Unit cell a=8.7955 b=8.7955 c=9.4635 alpha=106.25 beta=106.25 gamma=26.44
Element x y z (fractional)
1 Na 0.0239 0.0239 0.1609
2 Na 0.0962 0.0962 0.5221
3 Na 0.4511 0.4511 0.2937
4 Na 0.5489 0.5489 0.7063
5 Na 0.9038 0.9038 0.4779
6 Na 0.9761 0.9761 0.8391
7 Ti 0.2617 0.2617 0.2190
8 Ti 0.3148 0.3148 0.5885
9 Ti 0.3744 0.3744 0.9312
10 Ti 0.6256 0.6256 0.0688
11 Ti 0.6852 0.6852 0.4115
12 Ti 0.7383 0.7383 0.7810
13 O 0.1391 0.1391 0.0895
14 O 0.2003 0.2003 0.4189
15 O 0.2629 0.2629 0.7678
16 O 0.3313 0.3313 0.1023
17 O 0.3480 0.3480 0.4038
18 O 0.4154 0.4154 0.7183
19 O 0.5000 0.5000 0.0000
20 O 0.5846 0.5846 0.2817
21 O 0.6520 0.6520 0.5962
22 O 0.6687 0.6687 0.8977
23 O 0.7371 0.7371 0.2322
24 O 0.7997 0.7997 0.5811
25 O 0.8609 0.8609 0.9105

***

2.
The following is a calculated X-ray diffraction stick pattern of CeSm12Tm6. It was derived from the PBE geometry in Alexandria, using Cu Kα (λ = 1.5418 Å).

Top 9 peaks for 10 to 90 degrees two-theta, low angle first:
- 30.6°, I = 100
- 35.5°, I = 51
- 51.0°, I = 36
- 60.7°, I = 43
- 63.7°, I = 12
- 75.0°, I = 6
- 83.1°, I = 13
- 83.2°, I = 4
- 85.8°, I = 16

Unit cell a=9.4749 b=9.4749 c=9.4749 alpha=110.95 beta=110.95 gamma=110.95
Element x y z (fractional)
1 Ce 0.0000 0.0000 0.0000
2 Sm 0.0571 0.3719 0.5796
3 Sm 0.1048 0.7389 0.1570
4 Sm 0.1570 0.1048 0.7389
5 Sm 0.2611 0.8430 0.8952
6 Sm 0.3719 0.5796 0.0571
7 Sm 0.4204 0.9429 0.6281
8 Sm 0.5796 0.0571 0.3719
9 Sm 0.6281 0.4204 0.9429
10 Sm 0.7389 0.1570 0.1048
11 Sm 0.8430 0.8952 0.2611
12 Sm 0.8952 0.2611 0.8430
13 Sm 0.9429 0.6281 0.4204
14 Tm 0.2126 0.4711 0.3162
15 Tm 0.3162 0.2126 0.4711
16 Tm 0.4711 0.3162 0.2126
17 Tm 0.5289 0.6838 0.7874
18 Tm 0.6838 0.7874 0.5289
19 Tm 0.7874 0.5289 0.6838

***

3.
The following is a calculated X-ray diffraction stick pattern of Ba2H4Pd. It was derived from the PBE geometry in Alexandria, using Cu Kα (λ = 1.5418 Å).

Top 10 peaks for 10 to 90 degrees two-theta, low angle first:
- 23.7°, I = 16
- 25.8°, I = 100
- 26.9°, I = 20
- 28.2°, I = 22
- 28.3°, I = 84
- 30.5°, I = 57
- 30.9°, I = 67
- 34.4°, I = 31
- 37.9°, I = 45
- 47.0°, I = 25

Unit cell a=8.0805 b=5.7829 c=10.2154 alpha=90.00 beta=90.00 gamma=90.00
Element x y z (fractional)
1 Ba 0.0113 0.2500 0.1674
2 Ba 0.1470 0.7500 0.4047
3 Ba 0.3530 0.2500 0.9047
4 Ba 0.4887 0.7500 0.6674
5 Ba 0.5113 0.2500 0.3326
6 Ba 0.6470 0.7500 0.0953
7 Ba 0.8530 0.2500 0.5953
8 Ba 0.9887 0.7500 0.8326
9 H 0.0227 0.7500 0.1106
10 H 0.1717 0.2500 0.4195
11 H 0.1803 0.5082 0.6559
12 H 0.1803 0.9918 0.6559
13 H 0.3197 0.0082 0.1559
14 H 0.3197 0.4918 0.1559
15 H 0.3283 0.7500 0.9195
16 H 0.4773 0.2500 0.6106
17 H 0.5227 0.7500 0.3894
18 H 0.6717 0.2500 0.0805
19 H 0.6803 0.5082 0.8441
20 H 0.6803 0.9918 0.8441
21 H 0.8197 0.0082 0.3441
22 H 0.8197 0.4918 0.3441
23 H 0.8283 0.7500 0.5805
24 H 0.9773 0.2500 0.8894
25 Pd 0.2416 0.7500 0.0821
26 Pd 0.2584 0.2500 0.5821
27 Pd 0.7416 0.7500 0.4179
28 Pd 0.7584 0.2500 0.9179

***

4.
The following is a calculated X-ray diffraction stick pattern of TiMn2Tl2S4. It was derived from the PBE geometry in Alexandria, using Cu Kα (λ = 1.5418 Å).

Top 10 peaks for 10 to 90 degrees two-theta, low angle first:
- 10.9°, I = 55
- 22.0°, I = 100
- 30.3°, I = 49
- 31.6°, I = 43
- 32.4°, I = 44
- 34.3°, I = 49
- 34.5°, I = 53
- 37.3°, I = 42
- 44.6°, I = 43
- 51.8°, I = 33

Unit cell a=6.7670 b=6.7670 c=8.2950 alpha=102.54 beta=102.54 gamma=28.67
Element x y z (fractional)
1 Ti 0.0000 0.0000 0.0000
2 Mn 0.3250 0.3250 0.0213
3 Mn 0.6750 0.6750 0.9787
4 Tl 0.1299 0.1299 0.5050
5 Tl 0.8701 0.8701 0.4950
6 S 0.1944 0.1944 0.1540
7 S 0.4741 0.4741 0.2051
8 S 0.5259 0.5259 0.7949
9 S 0.8056 0.8056 0.8460